Record 1
For Er2TmAl3AgIr2, a PBE-relaxed structure gives the simulated XRD peak list in this record (Cu Kα (λ = 1.5418 Å)).
Peak positions follow from Bragg's law for the DFT cell and can differ from measured ones.

Main lines, in order of falling intensity (2θ = 15–90°):
2θ (°)  intensity
36.85  100
33.74  93
25.03  39
45.42  24
44.05  22
65.16  20
45.04  18
70.76  14
38.64  14
26.60  13

Structural model:
Lattice parameters (Å, degrees): 3.9940 7.1085 7.1085 119.83 90.00 90.00
Fractional positions:
Er  0.0000  0.2088  0.7912
Er  0.0000  0.7912  0.2088
Tm  0.0000  0.3735  0.3735
Al  0.5000  0.0511  0.0511
Al  0.5000  0.5310  0.7912
Al  0.5000  0.7912  0.5310
Ag  0.0000  0.7900  0.7900
Ir  0.5000  0.1256  0.4572
Ir  0.5000  0.4572  0.1256

=====

Record 2
For Tb2ErAl7Ag2, a PBE-relaxed structure gives the simulated XRD peak list in this record (Cu Kα (λ = 1.5418 Å)).
Peak positions follow from Bragg's law for the DFT cell and can differ from measured ones.

Main lines, in order of falling intensity (2θ = 15–90°):
2θ (°)  intensity
38.41  100
32.29  85
20.24  38
30.19  29
61.69  24
33.00  20
18.79  20
62.65  17
67.58  17
57.59  16

Structural model:
Lattice parameters (Å, degrees): 9.3404 9.3404 9.3404 34.53 34.53 34.53
Fractional positions:
Tb  0.1421  0.1421  0.1421
Tb  0.8579  0.8579  0.8579
Er  0.0000  0.0000  0.0000
Al  0.0758  0.5875  0.5875
Al  0.4125  0.4125  0.9242
Al  0.4125  0.9242  0.4125
Al  0.5000  0.5000  0.5000
Al  0.5875  0.0758  0.5875
Al  0.5875  0.5875  0.0758
Al  0.9242  0.4125  0.4125
Ag  0.3358  0.3358  0.3358
Ag  0.6642  0.6642  0.6642

=====

Record 3
For Er2TmAl7Ag2, a PBE-relaxed structure gives the simulated XRD peak list in this record (Cu Kα (λ = 1.5418 Å)).
Peak positions follow from Bragg's law for the DFT cell and can differ from measured ones.

Main lines, in order of falling intensity (2θ = 15–90°):
2θ (°)  intensity
38.63  100
32.49  85
20.33  39
30.34  30
62.08  24
18.90  22
33.16  20
62.99  17
68.04  17
57.96  16

Structural model:
Lattice parameters (Å, degrees): 9.2985 9.2985 9.2985 34.48 34.48 34.48
Fractional positions:
Er  0.1425  0.1425  0.1425
Er  0.8575  0.8575  0.8575
Tm  0.0000  0.0000  0.0000
Al  0.0761  0.5881  0.5881
Al  0.4119  0.4119  0.9239
Al  0.4119  0.9239  0.4119
Al  0.5000  0.5000  0.5000
Al  0.5881  0.0761  0.5881
Al  0.5881  0.5881  0.0761
Al  0.9239  0.4119  0.4119
Ag  0.3357  0.3357  0.3357
Ag  0.6643  0.6643  0.6643

=====

Record 4
For Li2Mg2AlGaAg2, a PBE-relaxed structure gives the simulated XRD peak list in this record (Cu Kα (λ = 1.5418 Å)).
Peak positions follow from Bragg's law for the DFT cell and can differ from measured ones.

Main lines, in order of falling intensity (2θ = 15–90°):
2θ (°)  intensity
23.95  100
39.67  81
39.52  41
46.74  32
71.78  26
47.01  16
57.12  13
72.09  13
63.04  12
85.47  8

Structural model:
Lattice parameters (Å, degrees): 4.5610 4.5610 6.4029 90.00 90.00 90.00
Fractional positions:
Li  0.0000  0.5000  0.2465
Li  0.5000  0.0000  0.7535
Mg  0.0000  0.0000  0.0000
Mg  0.5000  0.5000  0.5000
Al  0.0000  0.0000  0.5000
Ga  0.5000  0.5000  0.0000
Ag  0.0000  0.5000  0.7432
Ag  0.5000  0.0000  0.2568

=====

Record 5
For Gd2TmAl3AgGe2, a PBE-relaxed structure gives the simulated XRD peak list in this record (Cu Kα (λ = 1.5418 Å)).
Peak positions follow from Bragg's law for the DFT cell and can differ from measured ones.

Main lines, in order of falling intensity (2θ = 15–90°):
2θ (°)  intensity
36.03  100
32.88  83
36.15  52
20.68  47
42.07  40
32.78  37
29.17  34
25.29  33
44.40  32
44.60  30

Structural model:
Lattice parameters (Å, degrees): 4.2954 7.0463 7.0463 119.67 90.00 90.00
Fractional positions:
Gd  0.0000  0.2068  0.7932
Gd  0.0000  0.7932  0.2068
Tm  0.0000  0.6237  0.6237
Al  0.5000  0.2083  0.4478
Al  0.5000  0.4478  0.2083
Al  0.5000  0.9700  0.9700
Ag  0.0000  0.2162  0.2162
Ge  0.5000  0.5426  0.8707
Ge  0.5000  0.8707  0.5426

=====

Record 6
For GdHo2Al7Ag2, a PBE-relaxed structure gives the simulated XRD peak list in this record (Cu Kα (λ = 1.5418 Å)).
Peak positions follow from Bragg's law for the DFT cell and can differ from measured ones.

Main lines, in order of falling intensity (2θ = 15–90°):
2θ (°)  intensity
38.42  100
32.29  85
20.25  38
30.20  29
61.70  24
33.01  19
18.79  19
22.93  18
62.68  17
67.59  17

Structural model:
Lattice parameters (Å, degrees): 9.3361 9.3361 9.3361 34.54 34.54 34.54
Fractional positions:
Gd  0.0000  0.0000  0.0000
Ho  0.1424  0.1424  0.1424
Ho  0.8576  0.8576  0.8576
Al  0.0760  0.5881  0.5881
Al  0.4119  0.4119  0.9240
Al  0.4119  0.9240  0.4119
Al  0.5000  0.5000  0.5000
Al  0.5881  0.0760  0.5881
Al  0.5881  0.5881  0.0760
Al  0.9240  0.4119  0.4119
Ag  0.3358  0.3358  0.3358
Ag  0.6642  0.6642  0.6642